# Na4MnH6
Calculated X-ray powder pattern, a wavelength of 1.5418 Å. Input: a DFT-relaxed cell (PBE, Alexandria).
Intensities are scaled so that the largest is 100.

The 8 most intense peaks (10 to 90 degrees two-theta), in order of falling intensity:
| 2θ/deg | I (rel.) | index |
| --- | --- | --- |
| 19.0 | 100 | 1 0 1 |
| 38.6 | 67 | 2 0 2 |
| 33.7 | 36 | 2 1 1 |
| 19.4 | 30 | 1 1 0 |
| 33.1 | 29 | 1 1 2 |
| 30.8 | 29 | 2 1 0 |
| 41.2 | 29 | 2 1 2 |
| 39.3 | 24 | 2 2 0 |

Structural model:
Cell lengths 6.4843, 6.4843, 6.7032 Å; angles 90.00, 90.00, 90.00 degrees
Space group P4/mnc (No. 128)
Asymmetric unit:
Na (0.1907, 0.3093, 0.2500)
Mn (0.0000, 0.0000, 0.0000)
H (0.0000, 0.0000, 0.2520)
H (0.0591, 0.7441, 0.0000)